Diffraction record for Ba4HgN. The powder diffraction line list is simulated, not measured: it uses a GGA-PBE-relaxed structure and Cu Kα.

Lattice parameters (Å, degrees): 11.010 17.767 7.786 90.00 134.96 90.00
Space group C2/c (No. 15)
Asymmetric unit:
Ba: 0.148 0.198 0.157
Ba: 0.241 0.052 0.639
Hg: 0.000 0.375 0.750
N: 0.000 0.125 0.250

The 10 most intense peaks (15 to 90 degrees two-theta), in order of rising 2θ:
18.96 deg, rel. 61, (0 2 1); 25.77 deg, rel. 97, (2 4 -1); 26.07 deg, rel. 100, (1 1 -2); 27.59 deg, rel. 41, (1 5 0); 29.76 deg, rel. 76, (1 3 1); 30.53 deg, rel. 35, (2 4 0); 37.88 deg, rel. 50, (2 2 1); 47.11 deg, rel. 29, (2 8 -2); 48.05 deg, rel. 30, (4 6 -1); 61.58 deg, rel. 29, (6 2 -1)